Diffraction record for CeCo2Si2Ni. The X-ray diffraction stick pattern is computed, not measured: it uses a crystal structure in Alexandria, relaxed with PBE and copper Kα.
Lines closer than 0.1° are merged.

Most intense lines, 15° ≤ 2θ ≤ 90°, by angle:
| 2θ (°) | Rel. int. | index |
| --- | --- | --- |
| 20.83 | 17 | 1 0 0 |
| 27.17 | 14 | 1 0 1 |
| 29.62 | 83 | 1 1 0 |
| 34.48 | 27 | 1 1 1 |
| 41.01 | 100 | 1 0 2 |
| 42.38 | 62 | 2 0 0 |
| 60.44 | 60 | 2 1 2 |
| 61.49 | 20 | 2 2 0 |
| 69.72 | 13 | 3 1 0 |
| 76.59 | 15 | 3 0 2 |
| 81.41 | 9 | 1 1 4 |
| 88.94 | 14 | 2 0 4 |

Cell and atoms:
Unit cell a=4.265 b=4.265 c=5.139 alpha=90.00 beta=90.00 gamma=90.00
Space group P4/mmm (No. 123)
One atom of each set of equivalent atoms:
Ce 0.000 0.000 0.000
Co 0.500 0.500 0.247
Si 0.000 0.500 0.500
Ni 0.000 0.000 0.500

Diffraction record for CeThCoNi. The X-ray diffraction stick pattern is computed, not measured: it uses a crystal structure in Alexandria, relaxed with PBE and copper Kα.
Lines closer than 0.1° are merged.

Most intense lines, 15° ≤ 2θ ≤ 90°, by angle:
| 2θ (°) | Rel. int. | index |
| --- | --- | --- |
| 25.47 | 19 | 0 1 1 |
| 27.28 | 44 | 1 0 2 |
| 32.78 | 41 | 0 0 4 |
| 33.75 | 100 | 1 1 1 |
| 34.59 | 33 | 0 1 3 |
| 41.25 | 54 | 1 1 3 |
| 44.41 | 24 | 2 0 0 |
| 49.37 | 17 | 0 2 0 |
| 53.66 | 18 | 1 1 5 |
| 56.28 | 18 | 2 0 4 |
| 57.48 | 16 | 2 1 3 |
| 78.10 | 15 | 2 2 4 |

Cell and atoms:
Unit cell a=4.080 b=3.692 c=10.929 alpha=90.00 beta=90.00 gamma=90.00
Space group Amm2 (No. 38)
One atom of each set of equivalent atoms:
Ce 0.000 0.000 0.000
Th 0.500 0.000 0.269
Co 0.500 0.000 0.536
Ni 0.000 0.000 0.712